Structure and simulated X-ray diffraction stick pattern of Al5W7 (a GGA-PBE-relaxed structure; Cu Kα (weighted mean of Kα1 and Kα2)).
Lines closer than 0.1° are merged.

Cell and atoms:
```
data_Al5W7
_symmetry_space_group_name_H-M 'P 63/m m c'
_symmetry_Int_Tables_number 194
_symmetry_space_group_name_Hall '-P 6c 2c'
_cell_length_a 5.1432
_cell_length_b 5.1432
_cell_length_c 16.4218
_cell_angle_alpha 90.00
_cell_angle_beta 90.00
_cell_angle_gamma 120.00
loop_
_atom_site_label
_atom_site_type_symbol
_atom_site_fract_x
_atom_site_fract_y
_atom_site_fract_z
Al1 Al 0.1606 0.3212 0.2500
Al2 Al 0.3333 0.6667 0.1288
W1 W 0.0000 0.0000 0.0927
W2 W 0.0000 0.5000 0.0000
W3 W 0.3333 0.6667 0.6615
```

Main lines, in order of rising 2θ (15° ≤ 2θ ≤ 90°):
two_theta	d [Å]	I_rel	(hkl)
20.7	4.299	41	1 0 1
29.6	3.019	30	1 0 4
33.9	2.643	21	1 0 5
34.9	2.572	41	1 1 0
38.6	2.332	100	1 0 6
40.5	2.227	37	2 0 0
41.4	2.179	85	1 1 4
42.0	2.149	100	2 0 2
65.0	1.434	43	2 1 6
71.4	1.322	36	2 0 10
73.7	1.286	29	2 2 0
86.4	1.126	21	3 1 6